For SrZrTe4, a structure optimized by DFT (GGA-PBE) gives the computed powder X-ray diffraction pattern in this record (Cu Kα, 1.54184 Å).
Neutral-atom scattering factors, no anomalous dispersion.

The 10 most intense peaks (2θ from 10° to 80°), in order of rising 2θ:
- hkl 1 5 0, d = 3.698 Å, I 67
- hkl 1 5 1, d = 3.137 Å, I 72
- hkl 0 8 0, d = 3.037 Å, I 45
- hkl 0 2 2, d = 2.878 Å, I 74
- hkl 2 0 0, d = 2.850 Å, I 100
- hkl 1 7 1, d = 2.651 Å, I 39
- hkl 1 3 2, d = 2.500 Å, I 70
- hkl 0 6 2, d = 2.391 Å, I 38
- hkl 2 2 2, d = 2.025 Å, I 54
- hkl 3 3 2, d = 1.569 Å, I 35

Atomic structure:
Cell: 5.700 24.298 5.925 Å, 90.00 90.00 90.00°
Space group Cmcm (No. 63)
Symmetry-distinct sites (fractional):
1 Sr 0.000 0.128 0.250 x4
2 Zr 0.000 0.419 0.250 x4
3 Te 0.000 0.065 0.750 x4
4 Te 0.000 0.314 0.007 x8
5 Te 0.000 0.455 0.750 x4